Record 1
The following is a calculated powder diffraction line list of Nb2Zn2BiO8. It was derived from a structure optimized by DFT (GGA-PBE), using copper Kα.

Most intense lines, 2θ from 10° to 80°, low angle first:
| Position (°2θ) | d (Å) | I_rel |
| --- | --- | --- |
| 25.3 | 3.522 | 72 |
| 26.1 | 3.417 | 44 |
| 30.5 | 2.930 | 75 |
| 31.3 | 2.861 | 100 |
| 32.9 | 2.725 | 55 |
| 34.1 | 2.627 | 59 |

a b c (Å): 10.8225 10.8225 5.4528
angles (deg): 91.78 91.78 32.17
Sites, in units of the cell vectors:
Nb 0.0357 0.7164 0.7734
Nb 0.2836 0.9643 0.7266
Nb 0.7164 0.0357 0.2734
Nb 0.9643 0.2836 0.2266
Zn 0.1224 0.4371 0.2731
Zn 0.4371 0.1224 0.7731
Zn 0.5629 0.8776 0.2269
Zn 0.8776 0.5629 0.7269
Bi 0.3087 0.6913 0.2500
Bi 0.6913 0.3087 0.7500
O 0.0139 0.8351 0.4627
O 0.0686 0.2882 0.9236
O 0.1559 0.4460 0.6393
O 0.1649 0.9861 0.0373
O 0.2882 0.0686 0.4236
O 0.3210 0.5542 0.8842
O 0.4460 0.1559 0.1393
O 0.4458 0.6790 0.6158
O 0.5542 0.3210 0.3842
O 0.5540 0.8441 0.8607
O 0.6790 0.4458 0.1158
O 0.7118 0.9314 0.5764
O 0.8351 0.0139 0.9627
O 0.8441 0.5540 0.3607
O 0.9314 0.7118 0.0764
O 0.9861 0.1649 0.5373

=====

Record 2
The following is a calculated powder diffraction line list of Nb3Bi2S6. It was derived from a structure optimized by DFT (GGA-PBE), using copper Kα.

Most intense lines, 2θ from 10° to 80°, low angle first:
| Position (°2θ) | d (Å) | I_rel |
| --- | --- | --- |
| 20.3 | 4.379 | 72 |
| 20.4 | 4.355 | 58 |
| 30.9 | 2.898 | 53 |
| 32.5 | 2.751 | 92 |
| 44.0 | 2.057 | 100 |
| 54.9 | 1.673 | 37 |

a b c (Å): 5.7956 5.7956 17.5160
angles (deg): 90.00 90.00 120.00
Sites, in units of the cell vectors:
Nb 0.0000 0.3262 0.2500
Nb 0.0000 0.6738 0.7500
Nb 0.3262 0.0000 0.2500
Nb 0.3262 0.3262 0.7500
Nb 0.6738 0.0000 0.7500
Nb 0.6738 0.6738 0.2500
Bi 0.3333 0.6667 0.0000
Bi 0.3333 0.6667 0.5000
Bi 0.6667 0.3333 0.0000
Bi 0.6667 0.3333 0.5000
S 0.0000 0.0000 0.1584
S 0.0000 0.0000 0.3416
S 0.0000 0.0000 0.6584
S 0.0000 0.0000 0.8416
S 0.3333 0.6667 0.1617
S 0.3333 0.6667 0.3383
S 0.3333 0.6667 0.6617
S 0.3333 0.6667 0.8383
S 0.6667 0.3333 0.1617
S 0.6667 0.3333 0.3383
S 0.6667 0.3333 0.6617
S 0.6667 0.3333 0.8383

=====

Record 3
The following is a calculated powder diffraction line list of Nb6BiS8. It was derived from a structure optimized by DFT (GGA-PBE), using copper Kα.

Most intense lines, 2θ from 10° to 80°, low angle first:
| Position (°2θ) | d (Å) | I_rel |
| --- | --- | --- |
| 21.1 | 4.201 | 66 |
| 28.1 | 3.176 | 49 |
| 28.5 | 3.136 | 51 |
| 38.6 | 2.330 | 57 |
| 38.9 | 2.314 | 100 |
| 46.1 | 1.971 | 39 |

a b c (Å): 9.7020 9.7020 3.3798
angles (deg): 90.00 90.00 120.00
Sites, in units of the cell vectors:
Nb 0.1156 0.6279 0.2506
Nb 0.3721 0.4877 0.2506
Nb 0.4877 0.1156 0.7494
Nb 0.5123 0.8844 0.2506
Nb 0.6279 0.5123 0.7494
Nb 0.8844 0.3721 0.7494
Bi 0.0000 0.0000 0.5000
S 0.0532 0.3405 0.2497
S 0.2873 0.9468 0.2497
S 0.3333 0.6667 0.7502
S 0.3405 0.2873 0.7503
S 0.6595 0.7127 0.2497
S 0.6667 0.3333 0.2498
S 0.7127 0.0532 0.7503
S 0.9468 0.6595 0.7503